(1)
Computed X-ray diffraction stick pattern of TaReCl2 for Cu Kα (weighted mean of Kα1 and Kα2), from a cell relaxed with GGA-PBE.
Neutral-atom scattering factors, no anomalous dispersion.

Main lines, sorted by position (2θ = 15–90°):
Position (°2θ), d [Å], I_rel
28.27, 3.156, 1000
31.42, 2.848, 371
33.09, 2.707, 430
33.24, 2.695, 425
35.82, 2.507, 740
40.05, 2.252, 330
40.35, 2.235, 428
41.71, 2.166, 744
42.86, 2.110, 391
50.47, 1.808, 361

Structure:
a = 3.3681 Å, b = 5.9774 Å, c = 9.4935 Å
α = 107.68°, β = 90.25°, γ = 90.01°
Space group P1 (No. 1)
Symmetry-distinct sites (fractional):
Ta (0.0000, 0.0000, 0.0000)
Ta (0.0296, 0.5000, 0.0000)
Re (0.5067, 0.9134, 0.1769)
Re (0.5273, 0.4135, 0.1770)
Cl (0.1035, 0.1596, 0.7823)
Cl (0.4466, 0.2499, 0.3849)
Cl (0.5933, 0.7500, 0.3850)
Cl (0.9208, 0.6596, 0.7823)

=====

(2)
Computed X-ray diffraction stick pattern of Sm2Cu3Pd for Cu Kα (weighted mean of Kα1 and Kα2), from a cell relaxed with GGA-PBE.
Neutral-atom scattering factors, no anomalous dispersion.

Main lines, sorted by position (2θ = 15–90°):
Position (°2θ), d [Å], I_rel
23.81, 3.737, 129
34.06, 2.632, 1000
41.87, 2.158, 507
49.14, 1.854, 106
55.03, 1.669, 248
66.49, 1.406, 247
71.43, 1.321, 74
71.48, 1.320, 149
76.46, 1.246, 81
82.12, 1.174, 77

Structure:
a = 7.4168 Å, b = 8.6251 Å, c = 14.9597 Å
α = 90.00°, β = 90.00°, γ = 90.00°
Space group Fmmm (No. 69)
Symmetry-distinct sites (fractional):
Sm (0.2486, 0.0000, 0.0000)
Sm (0.2500, 0.2500, 0.2500)
Cu (0.0000, 0.0000, 0.3373)
Cu (0.0000, 0.2439, 0.4188)
Pd (0.0000, 0.0000, 0.1669)

=====

(3)
Computed X-ray diffraction stick pattern of Pm2CdCl for Cu Kα (weighted mean of Kα1 and Kα2), from a cell relaxed with GGA-PBE.
Neutral-atom scattering factors, no anomalous dispersion.

Main lines, sorted by position (2θ = 15–90°):
Position (°2θ), d [Å], I_rel
26.14, 3.409, 139
29.68, 3.010, 1000
32.10, 2.788, 127
41.14, 2.194, 355
43.77, 2.068, 355
53.78, 1.705, 183
61.63, 1.505, 105
67.98, 1.379, 121
71.76, 1.315, 152
78.62, 1.217, 103

Structure:
a = 4.1364 Å, b = 4.1364 Å, c = 22.2043 Å
α = 90.00°, β = 90.00°, γ = 120.00°
Space group R-3m (No. 166, hexagonal axes)
Symmetry-distinct sites (fractional):
Pm (0.0000, 0.0000, 0.2397)
Cd (0.0000, 0.0000, 0.0000)
Cl (0.0000, 0.0000, 0.5000)

=====

(4)
Computed X-ray diffraction stick pattern of Pm6Pr2Th3 for Cu Kα (weighted mean of Kα1 and Kα2), from a cell relaxed with GGA-PBE.
Neutral-atom scattering factors, no anomalous dispersion.

Main lines, sorted by position (2θ = 15–90°):
Position (°2θ), d [Å], I_rel
28.52, 3.129, 348
29.67, 3.011, 409
31.15, 2.871, 1000
31.45, 2.844, 564
31.74, 2.819, 305
33.18, 2.700, 857
35.46, 2.532, 190
48.44, 1.879, 159
54.49, 1.684, 218
58.90, 1.568, 168

Structure:
a = 6.0790 Å, b = 11.2759 Å, c = 11.4846 Å
α = 90.00°, β = 97.83°, γ = 90.00°
Space group C2/m (No. 12)
Symmetry-distinct sites (fractional):
Pm (0.0846, 0.1596, 0.2384)
Pm (0.0965, 0.5000, 0.2682)
Pr (0.0000, 0.3544, 0.0000)
Th (0.0000, 0.0000, 0.5000)
Th (0.0000, 0.3268, 0.5000)

=====

(5)
Computed X-ray diffraction stick pattern of CdIn4Br6 for Cu Kα (weighted mean of Kα1 and Kα2), from a cell relaxed with GGA-PBE.
Neutral-atom scattering factors, no anomalous dispersion.

Main lines, sorted by position (2θ = 15–90°):
Position (°2θ), d [Å], I_rel
19.45, 4.563, 1000
20.79, 4.272, 404
21.65, 4.105, 320
24.80, 3.590, 616
25.24, 3.529, 353
26.67, 3.343, 813
28.22, 3.163, 325
31.28, 2.860, 502
35.33, 2.541, 560
37.92, 2.373, 449

Structure:
a = 17.2366 Å, b = 8.5037 Å, c = 14.4334 Å
α = 90.00°, β = 118.78°, γ = 90.00°
Space group Cc (No. 9)
Symmetry-distinct sites (fractional):
Cd (0.0000, 0.2371, 0.0000)
In (0.0738, 0.1629, 0.7629)
In (0.2213, 0.3978, 0.2677)
In (0.2802, 0.0698, 0.5701)
In (0.4528, 0.1910, 0.8915)
Br (0.0039, 0.4893, 0.1104)
Br (0.1189, 0.1730, 0.3611)
Br (0.1673, 0.2373, 0.0391)
Br (0.2440, 0.2303, 0.7346)
Br (0.4007, 0.1909, 0.2980)
Br (0.4314, 0.4833, 0.0330)

=====

(6)
Computed X-ray diffraction stick pattern of H8Pd3Rh for Cu Kα (weighted mean of Kα1 and Kα2), from a cell relaxed with GGA-PBE.
Neutral-atom scattering factors, no anomalous dispersion.

Main lines, sorted by position (2θ = 15–90°):
Position (°2θ), d [Å], I_rel
35.08, 2.558, 1000
40.73, 2.215, 470
58.96, 1.567, 334
70.44, 1.337, 251
70.57, 1.335, 125
74.13, 1.279, 106
88.12, 1.109, 36
88.37, 1.106, 18

Structure:
a = 4.4342 Å, b = 4.4342 Å, c = 8.8490 Å
α = 90.00°, β = 90.00°, γ = 90.00°
Space group I4/mmm (No. 139)
Symmetry-distinct sites (fractional):
H (0.2382, 0.2382, 0.1190)
Pd (0.0000, 0.0000, 0.5000)
Pd (0.0000, 0.5000, 0.2500)
Rh (0.0000, 0.0000, 0.0000)

=====

(7)
Computed X-ray diffraction stick pattern of NaCl5 for Cu Kα (weighted mean of Kα1 and Kα2), from a cell relaxed with GGA-PBE.
Neutral-atom scattering factors, no anomalous dispersion.

Main lines, sorted by position (2θ = 15–90°):
Position (°2θ), d [Å], I_rel
23.00, 3.867, 984
23.40, 3.802, 765
25.65, 3.473, 345
26.42, 3.373, 1000
35.48, 2.530, 151
38.65, 2.330, 218
39.46, 2.284, 186
42.06, 2.148, 242
44.41, 2.040, 261
48.47, 1.878, 198

Structure:
a = 8.4900 Å, b = 4.2964 Å, c = 11.8930 Å
α = 90.00°, β = 106.22°, γ = 90.00°
Space group Cm (No. 8)
Symmetry-distinct sites (fractional):
Na (0.0000, 0.0000, 0.0000)
Cl (0.1190, 0.5000, 0.4345)
Cl (0.2005, 0.5000, 0.0321)
Cl (0.3015, 0.0000, 0.6537)
Cl (0.4464, 0.0000, 0.2806)
Cl (0.4794, 0.0000, 0.8134)

=====

(8)
Computed X-ray diffraction stick pattern of DySi2Ni10 for Cu Kα (weighted mean of Kα1 and Kα2), from a cell relaxed with GGA-PBE.
Neutral-atom scattering factors, no anomalous dispersion.

Main lines, sorted by position (2θ = 15–90°):
Position (°2θ), d [Å], I_rel
31.05, 2.881, 206
38.22, 2.355, 330
38.50, 2.339, 155
44.37, 2.042, 1000
44.64, 2.030, 344
49.92, 1.827, 103
50.18, 1.818, 146
73.75, 1.285, 115
81.63, 1.179, 145
81.80, 1.177, 107

Structure:
a = 8.1764 Å, b = 8.1764 Å, c = 4.6770 Å
α = 90.00°, β = 90.00°, γ = 90.00°
Space group P4/nmm (No. 129, origin choice 2)
Symmetry-distinct sites (fractional):
Dy (0.2500, 0.2500, 0.2204)
Si (0.0000, 0.0000, 0.5000)
Ni (0.0000, 0.0000, 0.0000)
Ni (0.0263, 0.2500, 0.7285)
Ni (0.1029, 0.7500, 0.7614)